(1)
This entry pairs a crystal structure of LiHg2SeO4 with its computed powder X-ray diffraction pattern. Radiation: a wavelength of 1.5418 Å. Structure: a cell relaxed with GGA-PBE.

Cell and atoms:
```
data_LiHg2SeO4
_space_group_name_H-M_alt 'I -4'
_space_group_IT_number 82
_space_group_name_Hall 'I -4'
_cell_length_a 5.7651
_cell_length_b 5.7651
_cell_length_c 8.2627
_cell_angle_alpha 90.00
_cell_angle_beta 90.00
_cell_angle_gamma 90.00
loop_
_atom_site_label
_atom_site_type_symbol
_atom_site_fract_x
_atom_site_fract_y
_atom_site_fract_z
Li1 Li 0.0000 0.0000 0.0000
Hg1 Hg 0.0000 0.0000 0.5000
Hg2 Hg 0.0000 0.5000 0.7500
Se1 Se 0.0000 0.5000 0.2500
O1 O 0.0889 0.2798 0.1328
```

Top 12 peaks for 10 to 90 degrees two-theta, sorted by position:
d (Å), I_rel
4.728, 54.0
2.902, 100.0
2.883, 45.3
2.485, 18.1
2.461, 35.6
2.038, 16.5
1.882, 10.7
1.679, 21.2
1.668, 39.1
1.451, 13.5
1.099, 11.1
1.091, 10.9


(2)
This entry pairs a crystal structure of Li2HgTeO4 with its computed powder X-ray diffraction pattern. Radiation: a wavelength of 1.5418 Å. Structure: a cell relaxed with GGA-PBE.

Cell and atoms:
```
data_Li2HgTeO4
_space_group_name_H-M_alt 'C 1 2/c 1'
_space_group_IT_number 15
_space_group_name_Hall '-C 2yc'
_cell_length_a 8.1440
_cell_length_b 10.9164
_cell_length_c 6.3321
_cell_angle_alpha 90.00
_cell_angle_beta 128.37
_cell_angle_gamma 90.00
loop_
_atom_site_label
_atom_site_type_symbol
_atom_site_fract_x
_atom_site_fract_y
_atom_site_fract_z
Li1 Li 0.0000 0.0000 0.0000
Li2 Li 0.2500 0.2500 0.0000
Hg1 Hg 0.0000 0.5000 0.0000
Te1 Te 0.2500 0.2500 0.5000
O1 O 0.0402 0.2465 0.0434
O2 O 0.2272 0.0475 0.4510
```

Top 12 peaks for 10 to 90 degrees two-theta, sorted by position:
d (Å), I_rel
5.511, 100.0
5.397, 48.3
3.161, 28.8
2.925, 27.4
2.756, 41.2
2.729, 37.8
2.699, 37.9
2.528, 15.1
2.482, 30.5
2.035, 20.8
1.836, 29.2
1.631, 15.3